Structure and computed powder diffraction line list of Li7Mn5O12 (a DFT-relaxed cell (PBE+U, Alexandria); Cu Kα X-rays).

Largest 10 diffraction maxima, by angle, 5 to 70 degrees two-theta:
2θ = 9.13°, I 12, hkl 0 0 1
2θ = 11.29°, I 11, hkl 2 0 -1
2θ = 18.31°, I 100, hkl 0 0 2
2θ = 34.46°, I 18, hkl 6 0 -2
2θ = 36.10°, I 23, hkl 3 1 -2
2θ = 41.74°, I 33, hkl 6 0 0
2θ = 43.90°, I 59, hkl 3 1 -4
2θ = 61.90°, I 16, hkl 9 1 -4
2θ = 62.44°, I 16, hkl 3 1 4
2θ = 64.53°, I 12, hkl 0 2 0

Crystal structure
```
data_Li7Mn5O12
_chemical_formula_sum 'Li14 Mn10 O24'
_cell_length_a 15.789
_cell_length_b 2.889
_cell_length_c 11.784
_cell_angle_alpha 90.00
_cell_angle_beta 124.68
_cell_angle_gamma 90.00
_symmetry_space_group_name_H-M 'C 1 2/m 1'
_symmetry_Int_Tables_number 12
loop_
_symmetry_equiv_pos_as_xyz
'x,y,z'
'-x,-y,-z'
'-x,y,-z'
'x,-y,z'
'x+1/2,y+1/2,z'
'-x+1/2,-y+1/2,-z'
'-x+1/2,y+1/2,-z'
'x+1/2,-y+1/2,z'
loop_
_atom_site_label
_atom_site_type_symbol
_atom_site_fract_x
_atom_site_fract_y
_atom_site_fract_z
Li1 Li 0.000 0.000 0.000
Li2 Li 0.005 0.000 0.758
Li3 Li 0.154 0.500 0.241
Li4 Li 0.170 0.500 0.748
Mn1 Mn 0.000 0.000 0.500
Mn2 Mn 0.161 0.500 0.997
Mn3 Mn 0.166 0.500 0.499
O1 O 0.007 0.500 0.618
O2 O 0.021 0.500 0.887
O3 O 0.160 0.000 0.380
O4 O 0.169 0.000 0.112
O5 O 0.174 0.000 0.617
O6 O 0.177 0.000 0.894
```